[1]
Theoretical powder X-ray diffraction pattern
Compound: Ba3PbS4O16
Radiation: CuKα
Structure: a crystal structure in the Materials Project, relaxed with PBE
Lines closer than 0.1° are merged.

Main lines, sorted by position (10 to 90 degrees two-theta):
2θ (°), Rel. int.
22.6, 54
25.7, 93
26.7, 68
28.6, 100
42.3, 52
42.5, 91

Crystal structure
```
data_Ba3PbS4O16
_symmetry_space_group_name_H-M 'P 1 m 1'
_symmetry_Int_Tables_number 6
_cell_length_a 7.207
_cell_length_b 5.528
_cell_length_c 8.904
_cell_angle_alpha 90.00
_cell_angle_beta 90.11
_cell_angle_gamma 90.00
loop_
_symmetry_equiv_pos_as_xyz
'x,y,z'
'x,-y,z'
loop_
_atom_site_label
_atom_site_fract_x
_atom_site_fract_y
_atom_site_fract_z
Ba1 0.000 0.000 0.000
Ba2 0.182 0.000 0.499
Ba3 0.681 0.500 0.630
Pb1 0.503 0.500 0.128
S1 0.030 0.500 0.252
S2 0.152 0.500 0.753
S3 0.529 0.000 0.880
S4 0.651 0.000 0.376
O1 0.030 0.281 0.735
O2 0.152 0.281 0.234
O3 0.237 0.500 0.904
O4 0.292 0.500 0.630
O5 0.388 0.000 0.002
O6 0.447 0.000 0.728
O7 0.529 0.221 0.392
O8 0.650 0.221 0.898
O9 0.738 0.000 0.226
O10 0.789 0.000 0.500
O11 0.887 0.500 0.130
O12 0.946 0.500 0.403
```

***

[2]
Theoretical powder X-ray diffraction pattern
Compound: BaPbS2O8
Radiation: CuKα
Structure: a crystal structure in the Materials Project, relaxed with PBE
Lines closer than 0.1° are merged.

Main lines, sorted by position (10 to 90 degrees two-theta):
2θ (°), Rel. int.
20.3, 55
26.0, 89
26.9, 66
28.8, 100
42.6, 53
43.1, 78

Crystal structure
```
data_BaPbS2O8
_symmetry_space_group_name_H-M 'P m c 21'
_symmetry_Int_Tables_number 26
_cell_length_a 5.510
_cell_length_b 7.157
_cell_length_c 8.780
_cell_angle_alpha 90.00
_cell_angle_beta 90.00
_cell_angle_gamma 90.00
loop_
_symmetry_equiv_pos_as_xyz
'x,y,z'
'-x,-y,z+1/2'
'-x,y,z'
'x,-y,z+1/2'
loop_
_atom_site_label
_atom_site_fract_x
_atom_site_fract_y
_atom_site_fract_z
Ba1 0.000 0.089 0.000
Pb1 0.500 0.416 0.372
S1 0.000 0.438 0.620
S2 0.500 0.062 0.748
O1 0.000 0.300 0.492
O2 0.000 0.349 0.771
O3 0.223 0.440 0.105
O4 0.281 0.061 0.264
O5 0.500 0.151 0.595
O6 0.500 0.204 0.874
```

***

Please write out number 2 again, unchanged.
Theoretical powder X-ray diffraction pattern
Compound: BaPbS2O8
Radiation: CuKα
Structure: a crystal structure in the Materials Project, relaxed with PBE
Lines closer than 0.1° are merged.

Main lines, sorted by position (10 to 90 degrees two-theta):
2θ (°), Rel. int.
20.3, 55
26.0, 89
26.9, 66
28.8, 100
42.6, 53
43.1, 78

Crystal structure
```
data_BaPbS2O8
_symmetry_space_group_name_H-M 'P m c 21'
_symmetry_Int_Tables_number 26
_cell_length_a 5.510
_cell_length_b 7.157
_cell_length_c 8.780
_cell_angle_alpha 90.00
_cell_angle_beta 90.00
_cell_angle_gamma 90.00
loop_
_symmetry_equiv_pos_as_xyz
'x,y,z'
'-x,-y,z+1/2'
'-x,y,z'
'x,-y,z+1/2'
loop_
_atom_site_label
_atom_site_fract_x
_atom_site_fract_y
_atom_site_fract_z
Ba1 0.000 0.089 0.000
Pb1 0.500 0.416 0.372
S1 0.000 0.438 0.620
S2 0.500 0.062 0.748
O1 0.000 0.300 0.492
O2 0.000 0.349 0.771
O3 0.223 0.440 0.105
O4 0.281 0.061 0.264
O5 0.500 0.151 0.595
O6 0.500 0.204 0.874
```